Starting from a PBE-relaxed structure, the powder diffractogram of K2OsO3 was calculated for λ = 1.5418 Å (Cu Kα).
Peak positions follow from Bragg's law for the DFT cell and can differ from measured ones.

Peak list (8 most intense, 2θ = 5–70°, by angle)
2theta  d [Å]  I_rel  hkl
15.99  5.544  21  1 0 0
20.39  4.355  100  0 1 1
25.31  3.519  30  0 0 2
27.87  3.201  76  1 1 0
30.08  2.971  47  0 1 2
38.00  2.368  30  2 -1 2
41.47  2.178  23  2 0 2
45.15  2.008  22  1 2 1

Crystal structure
Cell lengths 6.402, 6.402, 7.039 Å; angles 90.00, 90.00, 120.00 degrees
Atoms (fractional coordinates):
K: 0.000 0.000 0.000
K: 0.000 0.000 0.500
K: 0.333 0.667 0.247
K: 0.667 0.333 0.753
Os: 0.333 0.667 0.749
Os: 0.667 0.333 0.251
O: 0.097 0.740 0.750
O: 0.260 0.356 0.750
O: 0.356 0.097 0.250
O: 0.644 0.903 0.750
O: 0.740 0.644 0.250
O: 0.903 0.260 0.250